This entry pairs a crystal structure of PmYTeAs with its simulated powder XRD pattern. Radiation: Cu Kα. Structure: DFT lattice parameters and positions (PBE).

Cell lengths 7.820, 7.820, 7.820 Å; angles 31.16, 31.16, 31.16 degrees
Fractional coordinates of all 4 atoms:
Pm 0.000 0.000 0.000
Y 0.189 0.189 0.189
Te 0.429 0.429 0.429
As 0.594 0.594 0.594

Peak list (8 most intense, 10 to 90 degrees two-theta, sorted by position)
2θ/deg	I (rel.)
25.76	42
29.32	25
31.74	100
37.53	41
43.07	55
54.48	21
67.27	19
71.85	18